TbB3O6: calculated powder X-ray diffraction pattern (copper Kα), based on a structure optimized by DFT (PBE).
No peak broadening, texture or thermal motion is included.

Principal peaks in the range 2θ from 10° to 90°, by angle:
2θ = 17.89°, I = 100
2θ = 21.21°, I = 57
2θ = 22.74°, I = 34
2θ = 29.06°, I = 93
2θ = 31.30°, I = 66
2θ = 36.23°, I = 24
2θ = 42.40°, I = 43
2θ = 43.20°, I = 45
2θ = 45.53°, I = 26
2θ = 50.15°, I = 30

Cell and atoms:
```
40
Lattice="8.3763 0.0000 0.0000 0.0000 6.1531 0.0000 0.0000 0.0000 7.8208" Properties=species:S:1:pos:R:3 pbc="T T T"
Tb 0.0000 0.0352 1.9552
Tb 0.0000 6.1179 5.8656
Tb 4.1881 3.0414 5.8656
Tb 4.1881 3.1118 1.9552
B 0.0000 3.0285 5.8656
B 0.0000 3.1246 1.9552
B 1.5446 2.3521 3.9423
B 1.5446 3.8010 0.0319
B 2.6435 0.7245 0.0319
B 2.6435 5.4287 3.9423
B 4.1881 0.0480 1.9552
B 4.1881 6.1051 5.8656
B 5.7327 0.7245 3.8785
B 5.7327 5.4287 7.7889
B 6.8317 2.3521 7.7889
B 6.8317 3.8010 3.8785
O 0.7323 2.1824 2.8162
O 0.7323 3.9707 6.7266
O 0.9259 2.1051 5.1827
O 0.9259 4.0480 1.2723
O 1.3472 0.3812 7.7866
O 1.3472 5.7720 3.8762
O 2.8409 2.6954 3.8762
O 2.8409 3.4578 7.7866
O 3.2622 0.9715 1.2723
O 3.2622 5.1817 5.1827
O 3.4558 0.8942 6.7266
O 3.4558 5.2590 2.8162
O 4.9204 0.8942 5.0046
O 4.9204 5.2590 1.0942
O 5.1141 0.9715 2.6381
O 5.1141 5.1817 6.5485
O 5.5354 2.6954 0.0342
O 5.5354 3.4578 3.9446
O 7.0290 0.3812 3.9446
O 7.0290 5.7720 0.0342
O 7.4503 2.1051 6.5485
O 7.4503 4.0480 2.6381
O 7.6440 2.1824 1.0942
O 7.6440 3.9707 5.0046
```

Pm4DySn2: calculated powder X-ray diffraction pattern (copper Kα), based on a structure optimized by DFT (PBE).
No peak broadening, texture or thermal motion is included.

Principal peaks in the range 2θ from 10° to 90°, by angle:
2θ = 19.66°, I = 18
2θ = 24.40°, I = 52
2θ = 28.40°, I = 14
2θ = 30.65°, I = 16
2θ = 34.00°, I = 100
2θ = 35.54°, I = 65
2θ = 50.00°, I = 30
2θ = 55.32°, I = 16
2θ = 60.84°, I = 19
2θ = 61.85°, I = 25

Cell and atoms:
```
7
Lattice="2.6371 1.5225 10.1055 -2.6371 1.5225 10.1055 0.0000 -3.0450 10.1055" Properties=species:S:1:pos:R:3 pbc="T T T"
Pm 0.0000 0.0000 3.4929
Pm 0.0000 0.0000 8.8610
Pm 0.0000 0.0000 21.4555
Pm 0.0000 0.0000 26.8235
Dy 0.0000 0.0000 15.1582
Sn 0.0000 0.0000 12.0967
Sn 0.0000 0.0000 18.2197
```

BaTl2NiAg: calculated powder X-ray diffraction pattern (copper Kα), based on a structure optimized by DFT (PBE).
No peak broadening, texture or thermal motion is included.

Principal peaks in the range 2θ from 10° to 90°, by angle:
2θ = 16.73°, I = 14
2θ = 29.97°, I = 100
2θ = 33.83°, I = 27
2θ = 35.20°, I = 49
2θ = 49.62°, I = 37
2θ = 50.63°, I = 17
2θ = 58.15°, I = 16
2θ = 59.96°, I = 28
2θ = 62.28°, I = 19
2θ = 80.67°, I = 12

Cell and atoms:
```
5
Lattice="5.0997 0.0000 0.0000 0.0000 5.0997 0.0000 0.0000 0.0000 5.2997" Properties=species:S:1:pos:R:3 pbc="T T T"
Ba 0.0000 0.0000 0.0000
Tl 0.0000 2.5498 2.6499
Tl 2.5498 0.0000 2.6499
Ni 2.5498 2.5498 2.6499
Ag 2.5498 2.5498 0.0000
```

LaPaP2O8: calculated powder X-ray diffraction pattern (copper Kα), based on a structure optimized by DFT (PBE).
No peak broadening, texture or thermal motion is included.

Principal peaks in the range 2θ from 10° to 90°, by angle:
2θ = 19.04°, I = 100
2θ = 22.54°, I = 28
2θ = 30.83°, I = 79
2θ = 33.30°, I = 45
2θ = 41.48°, I = 38
2θ = 46.01°, I = 35
2θ = 51.91°, I = 17
2θ = 53.21°, I = 16
2θ = 57.98°, I = 25
2θ = 60.69°, I = 13

Cell and atoms:
```
12
Lattice="5.3811 0.0000 0.0000 -2.6905 4.6601 0.0000 0.0000 0.0000 7.4103" Properties=species:S:1:pos:R:3 pbc="T T T"
La 0.0000 0.0000 0.0000
Pa 0.0000 0.0000 3.7052
P 0.0000 3.1068 1.4842
P 2.6905 1.5534 5.9261
O 0.0000 1.6461 2.0328
O -1.2650 3.8371 2.0328
O 0.0000 3.1068 7.3713
O 1.4255 0.8230 5.3775
O 1.2650 3.8371 2.0328
O 2.6905 1.5534 0.0390
O 3.9555 0.8230 5.3775
O 2.6905 3.0141 5.3775
```

TbSm3Sn2: calculated powder X-ray diffraction pattern (copper Kα), based on a structure optimized by DFT (PBE).
No peak broadening, texture or thermal motion is included.

Principal peaks in the range 2θ from 10° to 90°, by angle:
2θ = 29.38°, I = 100
2θ = 30.90°, I = 41
2θ = 34.51°, I = 95
2θ = 36.72°, I = 18
2θ = 39.26°, I = 60
2θ = 50.78°, I = 41
2θ = 56.72°, I = 33
2θ = 65.18°, I = 21
2θ = 66.01°, I = 19
2θ = 68.13°, I = 27

Cell and atoms:
```
6
Lattice="4.5891 0.0000 0.0000 0.0000 4.5891 0.0000 0.0000 0.0000 8.6811" Properties=species:S:1:pos:R:3 pbc="T T T"
Tb 0.0000 0.0000 0.0000
Sm 0.0000 2.2945 3.0292
Sm 2.2945 0.0000 5.6519
Sm 2.2945 2.2945 0.0000
Sn 0.0000 2.2945 6.2610
Sn 2.2945 0.0000 2.4201
```